Simulated X-ray diffraction stick pattern
Compound: Ho4TlAg2Hg
Radiation: λ = 1.5418 Å (Cu Kα)
Structure: DFT lattice parameters and positions (GGA-PBE)

```
data_Ho4TlAg2Hg
_cell_length_a 5.2103
_cell_length_b 5.2103
_cell_length_c 25.5388
_cell_angle_alpha 90.00
_cell_angle_beta 90.00
_cell_angle_gamma 120.00
_symmetry_space_group_name_H-M 'R -3 m'
_symmetry_Int_Tables_number 166
_symmetry_space_group_name_Hall '-R 3 2"'
loop_
_atom_site_label
_atom_site_type_symbol
_atom_site_fract_x
_atom_site_fract_y
_atom_site_fract_z
Ho1 Ho 0.0000 0.0000 0.1230
Ho2 Ho 0.0000 0.0000 0.3731
Tl1 Tl 0.0000 0.0000 0.5000
Ag1 Ag 0.0000 0.0000 0.2498
Hg1 Hg 0.0000 0.0000 0.0000
```

Top 8 peaks for 2θ = 10–90°, by intensity:
h k l  d [Å]  two_theta  intensity
1 1 0  2.606  34.4  100
3 0 0  1.504  61.7  37
2 0 8  1.842  49.5  18
3 1 8  1.165  82.8  16
2 2 0  1.303  72.6  11
0 1 2  4.255  20.9  4
1 0 10  2.222  40.6  2
0 2 10  1.691  54.3  1